This entry pairs a crystal structure of Y5Mg5Cd2 with its computed X-ray diffraction stick pattern. Radiation: Cu Kα X-rays. Structure: the PBE geometry in Alexandria.

Top 12 peaks for 15 to 90 degrees two-theta, in order of rising 2θ:
2θ (°)	I/Imax
19.13	8
19.68	21
20.02	12
21.35	14
30.70	8
32.15	8
34.21	100
36.03	11
47.66	16
49.20	8
61.21	9
61.30	16

Atomic structure:
Lattice parameters (Å, degrees): 9.086 5.235 14.239 90.00 102.15 90.00
Space group C2/m (No. 12)
Unique sites:
Y 0.000 0.000 0.000 (multiplicity 2)
Y 0.103 0.500 0.810 (multiplicity 4)
Y 0.144 0.000 0.431 (multiplicity 4)
Mg 0.000 0.500 0.500 (multiplicity 2)
Mg 0.194 0.500 0.080 (multiplicity 4)
Mg 0.225 0.000 0.679 (multiplicity 4)
Cd 0.073 0.000 0.216 (multiplicity 4)

***

This entry pairs a crystal structure of YMgCd11 with its computed X-ray diffraction stick pattern. Radiation: Cu Kα X-rays. Structure: the PBE geometry in Alexandria.

Top 12 peaks for 15 to 90 degrees two-theta, in order of rising 2θ:
2θ (°)	I/Imax
17.31	13
29.87	24
30.91	46
35.04	62
35.95	100
36.25	53
39.61	75
40.43	36
40.71	36
57.05	24
62.02	18
64.43	27

Atomic structure:
Lattice parameters (Å, degrees): 5.983 14.007 7.623 90.00 113.04 90.00
Space group C2/m (No. 12)
Unique sites:
Y 0.000 0.000 0.000 (multiplicity 2)
Mg 0.000 0.000 0.500 (multiplicity 2)
Cd 0.000 0.500 0.500 (multiplicity 2)
Cd 0.114 0.394 0.214 (multiplicity 8)
Cd 0.172 0.174 0.350 (multiplicity 8)
Cd 0.250 0.250 0.000 (multiplicity 4)